No. 1
Structure and calculated PXRD pattern of Mg15In4Sn (a GGA-PBE-relaxed structure; Cu Ka).
Neutral-atom scattering factors, no anomalous dispersion.

Crystal structure
Lattice parameters (Å, degrees): 4.519 4.519 22.175 90.00 90.00 90.00
Space group P4/mmm (No. 123)
Inequivalent atoms, fractional coordinates:
Mg: 0.000 0.000 0.000 [1 per cell]
Mg: 0.000 0.000 0.200 [2 per cell]
Mg: 0.000 0.000 0.400 [2 per cell]
Mg: 0.000 0.500 0.100 [4 per cell]
Mg: 0.000 0.500 0.299 [4 per cell]
Mg: 0.000 0.500 0.500 [2 per cell]
In: 0.500 0.500 0.201 [2 per cell]
In: 0.500 0.500 0.400 [2 per cell]
Sn: 0.500 0.500 0.000 [1 per cell]

Most intense lines, 2θ from 10° to 80°, in order of rising 2θ:
d = 4.519 Å, intensity 45; d = 4.435 Å, intensity 22; d = 3.196 Å, intensity 19; d = 3.165 Å, intensity 38; d = 2.593 Å, intensity 100; d = 2.260 Å, intensity 34; d = 1.583 Å, intensity 21; d = 1.360 Å, intensity 25

=====

No. 2
Structure and calculated PXRD pattern of Mg2In4Sn (a GGA-PBE-relaxed structure; Cu Ka).
Neutral-atom scattering factors, no anomalous dispersion.

Crystal structure
Lattice parameters (Å, degrees): 14.591 14.591 14.591 90.00 90.00 90.00
Space group Fd-3m (No. 227, origin choice 2)
Inequivalent atoms, fractional coordinates:
Mg: 0.042 0.042 0.208 [32 per cell]
In: 0.000 0.000 0.000 [16 per cell]
In: 0.105 0.375 0.875 [48 per cell]
Sn: 0.000 0.000 0.500 [16 per cell]

Most intense lines, 2θ from 10° to 80°, in order of rising 2θ:
d = 5.159 Å, intensity 16; d = 4.212 Å, intensity 30; d = 2.978 Å, intensity 15; d = 2.808 Å, intensity 12; d = 2.579 Å, intensity 100; d = 2.200 Å, intensity 22; d = 1.824 Å, intensity 14; d = 1.489 Å, intensity 27

=====

No. 3
Structure and calculated PXRD pattern of Mg2In3Sn2 (a GGA-PBE-relaxed structure; Cu Ka).
Neutral-atom scattering factors, no anomalous dispersion.

Crystal structure
Lattice parameters (Å, degrees): 5.709 5.712 5.769 99.74 100.37 100.13
Space group P-1 (No. 2)
Inequivalent atoms, fractional coordinates:
Mg: 0.074 0.150 0.284 [2 per cell]
In: 0.359 0.719 0.443 [2 per cell]
In: 0.500 0.000 0.000 [1 per cell]
Sn: 0.196 0.405 0.847 [2 per cell]

Most intense lines, 2θ from 10° to 80°, in order of rising 2θ:
d = 2.726 Å, intensity 50; d = 2.696 Å, intensity 100; d = 2.667 Å, intensity 46; d = 2.338 Å, intensity 65; d = 2.328 Å, intensity 32; d = 1.663 Å, intensity 22; d = 1.653 Å, intensity 21; d = 1.636 Å, intensity 20

=====

No. 4
Structure and calculated PXRD pattern of Mg3In3Sn2 (a GGA-PBE-relaxed structure; Cu Ka).
Neutral-atom scattering factors, no anomalous dispersion.

Crystal structure
Lattice parameters (Å, degrees): 4.648 4.652 9.091 90.00 90.00 90.00
Space group Pmmm (No. 47)
Inequivalent atoms, fractional coordinates:
Mg: 0.000 0.000 0.000 [1 per cell]
Mg: 0.000 0.000 0.500 [1 per cell]
Mg: 0.500 0.500 0.000 [1 per cell]
In: 0.000 0.500 0.240 [2 per cell]
In: 0.500 0.500 0.500 [1 per cell]
Sn: 0.500 0.000 0.238 [2 per cell]

Most intense lines, 2θ from 10° to 80°, in order of rising 2θ:
d = 4.546 Å, intensity 16; d = 3.288 Å, intensity 15; d = 2.664 Å, intensity 100; d = 2.325 Å, intensity 34; d = 2.273 Å, intensity 15; d = 1.644 Å, intensity 12; d = 1.625 Å, intensity 21; d = 1.399 Å, intensity 27

=====

No. 5
Structure and calculated PXRD pattern of Mg8In3Sn (a GGA-PBE-relaxed structure; Cu Ka).
Neutral-atom scattering factors, no anomalous dispersion.

Crystal structure
Lattice parameters (Å, degrees): 9.714 9.595 8.213 90.00 124.06 90.00
Space group Cm (No. 8)
Inequivalent atoms, fractional coordinates:
Mg: 0.000 0.000 0.000 [2 per cell]
Mg: 0.000 0.270 0.513 [4 per cell]
Mg: 0.238 0.500 0.533 [2 per cell]
Mg: 0.257 0.000 0.506 [2 per cell]
Mg: 0.266 0.224 0.997 [4 per cell]
Mg: 0.345 0.500 0.247 [2 per cell]
In: 0.119 0.500 0.806 [2 per cell]
In: 0.129 0.261 0.248 [4 per cell]
Sn: 0.099 0.000 0.720 [2 per cell]

Most intense lines, 2θ from 10° to 80°, in order of rising 2θ:
d = 4.024 Å, intensity 52; d = 3.921 Å, intensity 100; d = 3.883 Å, intensity 47; d = 3.409 Å, intensity 51; d = 2.442 Å, intensity 64; d = 2.427 Å, intensity 29; d = 2.399 Å, intensity 31; d = 2.378 Å, intensity 49

=====

No. 6
Structure and calculated PXRD pattern of Mg6InSn5 (a GGA-PBE-relaxed structure; Cu Ka).
Neutral-atom scattering factors, no anomalous dispersion.

Crystal structure
Lattice parameters (Å, degrees): 9.700 14.161 4.752 90.00 118.50 90.00
Space group C2/m (No. 12)
Inequivalent atoms, fractional coordinates:
Mg: 0.248 0.000 0.248 [4 per cell]
Mg: 0.249 0.166 0.749 [8 per cell]
In: 0.000 0.500 0.000 [2 per cell]
Sn: 0.000 0.000 0.500 [2 per cell]
Sn: 0.000 0.168 0.000 [4 per cell]
Sn: 0.000 0.336 0.500 [4 per cell]

Most intense lines, 2θ from 10° to 80°, in order of rising 2θ:
d = 4.262 Å, intensity 69; d = 3.349 Å, intensity 77; d = 2.646 Å, intensity 100; d = 2.620 Å, intensity 97; d = 2.376 Å, intensity 37; d = 2.360 Å, intensity 36; d = 2.064 Å, intensity 31; d = 1.411 Å, intensity 29

=====

No. 7
Structure and calculated PXRD pattern of Mg12In4Sn (a GGA-PBE-relaxed structure; Cu Ka).
Neutral-atom scattering factors, no anomalous dispersion.

Crystal structure
Lattice parameters (Å, degrees): 9.943 9.943 9.943 90.00 90.00 90.00
Space group Im-3 (No. 204)
Inequivalent atoms, fractional coordinates:
Mg: 0.000 0.343 0.156 [24 per cell]
In: 0.250 0.250 0.250 [8 per cell]
Sn: 0.000 0.000 0.000 [2 per cell]

Most intense lines, 2θ from 10° to 80°, in order of rising 2θ:
d = 4.971 Å, intensity 44; d = 3.515 Å, intensity 100; d = 3.144 Å, intensity 31; d = 2.657 Å, intensity 25; d = 2.486 Å, intensity 22; d = 2.223 Å, intensity 38; d = 2.030 Å, intensity 69; d = 1.572 Å, intensity 25

=====

No. 8
Structure and calculated PXRD pattern of Mg4In5Sn2 (a GGA-PBE-relaxed structure; Cu Ka).
Neutral-atom scattering factors, no anomalous dispersion.

Crystal structure
Lattice parameters (Å, degrees): 8.070 3.183 10.694 90.00 95.41 90.00
Space group P2/m (No. 10)
Inequivalent atoms, fractional coordinates:
Mg: 0.099 0.000 0.145 [2 per cell]
Mg: 0.237 0.000 0.650 [2 per cell]
In: 0.118 0.500 0.393 [2 per cell]
In: 0.431 0.500 0.201 [2 per cell]
In: 0.500 0.500 0.500 [1 per cell]
Sn: 0.231 0.500 0.913 [2 per cell]

Most intense lines, 2θ from 10° to 80°, in order of rising 2θ:
d = 3.363 Å, intensity 45; d = 3.183 Å, intensity 100; d = 3.139 Å, intensity 43; d = 2.658 Å, intensity 59; d = 2.601 Å, intensity 72; d = 2.547 Å, intensity 87; d = 2.312 Å, intensity 58; d = 2.235 Å, intensity 43

=====

No. 9
Structure and calculated PXRD pattern of Mg5In6Sn (a GGA-PBE-relaxed structure; Cu Ka).
Neutral-atom scattering factors, no anomalous dispersion.

Crystal structure
Lattice parameters (Å, degrees): 10.065 13.901 4.655 90.00 117.34 90.00
Space group C2/m (No. 12)
Inequivalent atoms, fractional coordinates:
Mg: 0.000 0.000 0.000 [2 per cell]
Mg: 0.000 0.173 0.500 [4 per cell]
Mg: 0.000 0.340 0.000 [4 per cell]
In: 0.234 0.000 0.734 [4 per cell]
In: 0.243 0.169 0.243 [8 per cell]
Sn: 0.000 0.500 0.500 [2 per cell]

Most intense lines, 2θ from 10° to 80°, in order of rising 2θ:
d = 4.470 Å, intensity 21; d = 3.284 Å, intensity 20; d = 2.647 Å, intensity 100; d = 2.327 Å, intensity 18; d = 2.317 Å, intensity 17; d = 2.235 Å, intensity 15; d = 1.609 Å, intensity 15; d = 1.393 Å, intensity 13

=====

No. 10
Structure and calculated PXRD pattern of SrMg3In9 (a GGA-PBE-relaxed structure; Cu Ka).
Neutral-atom scattering factors, no anomalous dispersion.

Crystal structure
Lattice parameters (Å, degrees): 6.200 15.060 8.005 90.00 112.40 90.00
Space group C2/m (No. 12)
Inequivalent atoms, fractional coordinates:
Sr: 0.000 0.000 0.000 [2 per cell]
Mg: 0.000 0.500 0.500 [2 per cell]
Mg: 0.250 0.250 0.000 [4 per cell]
In: 0.000 0.000 0.500 [2 per cell]
In: 0.098 0.392 0.214 [8 per cell]
In: 0.179 0.178 0.349 [8 per cell]

Most intense lines, 2θ from 10° to 80°, in order of rising 2θ:
d = 3.100 Å, intensity 54; d = 3.054 Å, intensity 43; d = 2.679 Å, intensity 26; d = 2.666 Å, intensity 100; d = 2.638 Å, intensity 99; d = 2.393 Å, intensity 32; d = 2.376 Å, intensity 46; d = 2.367 Å, intensity 29

=====

No. 11
Structure and calculated PXRD pattern of Sr2MgIn6 (a GGA-PBE-relaxed structure; Cu Ka).
Neutral-atom scattering factors, no anomalous dispersion.

Crystal structure
Lattice parameters (Å, degrees): 8.8902 8.8902 3.7630 90.00 90.00 120.00
Space group P6/mmm (No. 191)
Inequivalent atoms, fractional coordinates:
Sr: 0.3333 0.6667 0.0000 [2 per cell]
Mg: 0.0000 0.0000 0.0000 [1 per cell]
In: 0.0000 0.3269 0.5000 [6 per cell]

Most intense lines, 2θ from 10° to 80°, in order of rising 2θ:
d = 3.763 Å, intensity 27; d = 2.872 Å, intensity 100; d = 2.566 Å, intensity 97; d = 2.120 Å, intensity 34; d = 1.914 Å, intensity 30; d = 1.534 Å, intensity 29; d = 1.517 Å, intensity 37; d = 1.482 Å, intensity 17

=====

No. 12
Structure and calculated PXRD pattern of Sr5Mg2In (a GGA-PBE-relaxed structure; Cu Ka).
Neutral-atom scattering factors, no anomalous dispersion.

Crystal structure
Lattice parameters (Å, degrees): 7.554 14.601 5.838 90.00 90.00 90.00
Space group Pbam (No. 55)
Inequivalent atoms, fractional coordinates:
Sr: 0.000 0.000 0.000 [2 per cell]
Sr: 0.125 0.276 0.000 [4 per cell]
Sr: 0.165 0.603 0.500 [4 per cell]
Mg: 0.147 0.864 0.500 [4 per cell]
In: 0.000 0.500 0.000 [2 per cell]

Most intense lines, 2θ from 10° to 80°, in order of rising 2θ:
d = 3.903 Å, intensity 16; d = 3.171 Å, intensity 20; d = 3.097 Å, intensity 100; d = 2.984 Å, intensity 20; d = 2.919 Å, intensity 33; d = 2.909 Å, intensity 18; d = 1.744 Å, intensity 17; d = 1.717 Å, intensity 17